No. 1
Calculated X-ray powder pattern of Pr3Si2Cl3O7 for Cu Kα (λ = 1.5418 Å), from a cell relaxed with PBE.

Main lines, low angle first (5 to 70 degrees two-theta):
(hkl)  2θ (°)  I (rel.)
0 1 1  13.86  100
0 3 1  24.87  61
1 1 1  25.23  67
1 1 -2  25.65  74
1 3 -2  33.09  86
2 0 -1  33.43  65

Crystal structure
```
data_Pr3Si2Cl3O7
_cell_length_a 5.362
_cell_length_b 12.219
_cell_length_c 7.915
_cell_angle_alpha 90.00
_cell_angle_beta 108.78
_cell_angle_gamma 90.00
_space_group_name_H-M_alt 'P 1 21 1'
_space_group_IT_number 4
loop_
_space_group_symop_operation_xyz
'x,y,z'
'-x,y+1/2,-z'
loop_
_atom_site_label
_atom_site_fract_x
_atom_site_fract_y
_atom_site_fract_z
_atom_site_occupancy
Pr1 0.032 0.000 0.421 1
Pr2 0.294 0.978 0.969 1
Pr3 0.447 0.254 0.297 1
Si1 0.212 0.665 0.936 1
Si2 0.387 0.552 0.317 1
Cl1 0.012 0.758 0.492 1
Cl2 0.155 0.381 0.943 1
Cl3 0.457 0.885 0.332 1
O1 0.090 0.515 0.308 1
O2 0.098 0.128 0.121 1
O3 0.273 0.791 0.902 1
O4 0.348 0.596 0.807 1
O5 0.383 0.624 0.139 1
O6 0.420 0.949 0.697 1
O7 0.440 0.114 0.501 1
```

=====

No. 2
Calculated X-ray powder pattern of NbS for Cu Kα (λ = 1.5418 Å), from a cell relaxed with PBE.

Main lines, low angle first (5 to 70 degrees two-theta):
(hkl)  2θ (°)  I (rel.)
0 0 2  26.73  17
1 0 0  31.20  56
1 0 1  34.04  12
1 0 2  41.54  100
1 1 0  55.53  27
1 0 4  64.67  13

Crystal structure
```
data_NbS
_cell_length_a 3.3100
_cell_length_b 3.3100
_cell_length_c 6.6691
_cell_angle_alpha 90.00
_cell_angle_beta 90.00
_cell_angle_gamma 120.00
_space_group_name_H-M_alt 'P 63/m m c'
_space_group_IT_number 194
_space_group_name_Hall '-P 6c 2c'
loop_
_atom_site_label
_atom_site_fract_x
_atom_site_fract_y
_atom_site_fract_z
_atom_site_occupancy
Nb1 0.0000 0.0000 0.0000 1
S1 0.3333 0.6667 0.2500 1
```

=====

No. 3
Calculated X-ray powder pattern of TlBiPbS3 for Cu Kα (λ = 1.5418 Å), from a cell relaxed with PBE.

Main lines, low angle first (5 to 70 degrees two-theta):
(hkl)  2θ (°)  I (rel.)
0 1 3  25.00  79
1 1 0  26.14  69
1 0 3  29.44  100
0 2 0  29.95  49
1 2 3  42.50  74
2 1 3  50.89  38

Crystal structure
```
data_TlBiPbS3
_cell_length_a 4.154
_cell_length_b 5.966
_cell_length_c 13.323
_cell_angle_alpha 90.00
_cell_angle_beta 90.00
_cell_angle_gamma 90.00
_space_group_name_H-M_alt 'I m m 2'
_space_group_IT_number 44
loop_
_space_group_symop_operation_xyz
'x,y,z'
'-x,-y,z'
'-x,y,z'
'x,-y,z'
'x+1/2,y+1/2,z+1/2'
'-x+1/2,-y+1/2,z+1/2'
'-x+1/2,y+1/2,z+1/2'
'x+1/2,-y+1/2,z+1/2'
loop_
_atom_site_label
_atom_site_fract_x
_atom_site_fract_y
_atom_site_fract_z
_atom_site_occupancy
Tl1 0.000 0.000 0.000 1
Bi1 0.000 0.000 0.667 1
Pb1 0.000 0.000 0.336 1
S1 0.000 0.500 0.024 1
S2 0.000 0.500 0.314 1
S3 0.000 0.500 0.688 1
```

=====

No. 4
Calculated X-ray powder pattern of TaSiGe for Cu Kα (λ = 1.5418 Å), from a cell relaxed with PBE.

Main lines, low angle first (5 to 70 degrees two-theta):
(hkl)  2θ (°)  I (rel.)
1 0 1  24.80  73
1 0 2  34.07  33
1 1 1  39.07  100
0 0 3  40.38  34
2 0 0  42.51  20
2 -1 2  45.82  66

Crystal structure
```
data_TaSiGe
_cell_length_a 4.9106
_cell_length_b 4.9106
_cell_length_c 6.7006
_cell_angle_alpha 90.00
_cell_angle_beta 90.00
_cell_angle_gamma 120.00
_space_group_name_H-M_alt 'P 32 1 2'
_space_group_IT_number 153
loop_
_space_group_symop_operation_xyz
'x,y,z'
'-y,x-y,z+2/3'
'-x+y,-x,z+1/3'
'-y,-x,-z+1/3'
'-x+y,y,-z+2/3'
'x,x-y,-z'
loop_
_atom_site_label
_atom_site_fract_x
_atom_site_fract_y
_atom_site_fract_z
_atom_site_occupancy
Ta1 0.0037 0.5019 0.0000 1
Si1 0.1623 0.3246 0.3333 1
Ge1 0.3230 0.1615 0.0000 1
```

=====

No. 5
Calculated X-ray powder pattern of LiMg2 for Cu Kα (λ = 1.5418 Å), from a cell relaxed with PBE.

Main lines, low angle first (5 to 70 degrees two-theta):
(hkl)  2θ (°)  I (rel.)
0 0 3  17.88  19
1 1 0  32.51  33
0 0 6  36.21  23
1 1 3  37.34  100
1 1 6  49.44  19
1 1 9  65.87  18

Crystal structure
```
data_LiMg2
_cell_length_a 5.5087
_cell_length_b 5.5087
_cell_length_c 14.8850
_cell_angle_alpha 90.00
_cell_angle_beta 90.00
_cell_angle_gamma 120.00
_space_group_name_H-M_alt 'R 3 2'
_space_group_IT_number 155
_space_group_name_Hall 'R 3 2"'
loop_
_atom_site_label
_atom_site_fract_x
_atom_site_fract_y
_atom_site_fract_z
_atom_site_occupancy
Li1 0.0000 0.0000 0.1663 1
Mg1 0.0000 0.0000 0.5000 1
Mg2 0.0000 0.6685 0.0000 1
```

=====

No. 6
Calculated X-ray powder pattern of Ca2SnS4 for Cu Kα (λ = 1.5418 Å), from a cell relaxed with PBE.

Main lines, low angle first (5 to 70 degrees two-theta):
(hkl)  2θ (°)  I (rel.)
2 1 0  16.58  100
0 2 0  21.42  40
3 1 1  25.75  92
1 2 1  26.18  90
6 2 0  44.58  53
2 2 3  48.70  42

Crystal structure
```
data_Ca2SnS4
_cell_length_a 13.991
_cell_length_b 8.295
_cell_length_c 6.586
_cell_angle_alpha 90.00
_cell_angle_beta 90.00
_cell_angle_gamma 90.00
_space_group_name_H-M_alt 'P n m a'
_space_group_IT_number 62
loop_
_space_group_symop_operation_xyz
'x,y,z'
'-x,-y,-z'
'-x+1/2,-y,z+1/2'
'x+1/2,y,-z+1/2'
'x+1/2,-y+1/2,-z+1/2'
'-x+1/2,y+1/2,z+1/2'
'-x,y+1/2,-z'
'x,-y+1/2,z'
loop_
_atom_site_label
_atom_site_fract_x
_atom_site_fract_y
_atom_site_fract_z
_atom_site_occupancy
Ca1 0.000 0.000 0.000 1
Ca2 0.226 0.250 0.488 1
Sn1 0.095 0.750 0.413 1
S1 0.063 0.250 0.740 1
S2 0.093 0.750 0.777 1
S3 0.172 0.524 0.246 1
```

=====

- What is the formula in the sixth record?
  Ca2SnS4